Entry 1:
This entry pairs a crystal structure of DyTmRhPb with its simulated powder diffraction line list. Radiation: CuKα. Structure: a GGA-PBE-relaxed structure.

Crystal structure
```
DyTmRhPb
1.0
3.4678 0.0000 0.0000
0.0000 3.4678 0.0000
0.0000 0.0000 7.9652
Dy Tm Rh Pb
1 1 1 1
Direct
0.0000 0.0000 0.0000
0.0000 0.0000 0.5869
0.5000 0.5000 0.7877
0.5000 0.5000 0.2967
```

Most intense lines, 2θ from 5° to 70°, in order of rising 2θ:
2θ (°)  I_rel
28.06  166
33.76  86
34.29  1000
36.65  489
45.55  69
50.68  112
52.80  173
59.83  123
64.36  86
64.48  325

Entry 2:
This entry pairs a crystal structure of Dy2Zn2Rh5Pb with its simulated powder diffraction line list. Radiation: CuKα. Structure: a GGA-PBE-relaxed structure.

Crystal structure
```
Dy2Zn2Rh5Pb
1.0
9.6832 0.0000 0.0000
0.0000 9.6832 0.0000
0.0000 0.0000 3.7353
Dy Zn Rh Pb
4 4 10 2
Direct
0.1744 0.3256 0.0000
0.3256 0.8256 0.0000
0.6744 0.1744 0.0000
0.8256 0.6744 0.0000
0.1224 0.6224 0.0000
0.3776 0.1224 0.0000
0.6224 0.8776 0.0000
0.8776 0.3776 0.0000
0.0000 0.5000 0.5000
0.0710 0.7905 0.5000
0.2095 0.0710 0.5000
0.2905 0.5710 0.5000
0.4290 0.2905 0.5000
0.5000 0.0000 0.5000
0.5710 0.7095 0.5000
0.7095 0.4290 0.5000
0.7905 0.9290 0.5000
0.9290 0.2095 0.5000
0.0000 0.0000 0.0000
0.5000 0.5000 0.0000
```

Most intense lines, 2θ from 5° to 70°, in order of rising 2θ:
2θ (°)  I_rel
31.63  240
35.57  279
38.00  1000
38.33  359
41.41  248
41.72  210
48.76  210
62.71  98
63.66  160
66.06  108

Entry 3:
This entry pairs a crystal structure of DyPbS with its simulated powder diffraction line list. Radiation: CuKα. Structure: a GGA-PBE-relaxed structure.

Crystal structure
```
DyPbS
1.0
5.2413 0.0000 0.0000
0.0000 5.2413 0.0000
0.0000 0.0000 12.1976
Dy Pb S
4 4 4
Direct
0.0000 0.0000 0.0000
0.0000 0.5000 0.2500
0.5000 0.0000 0.7500
0.5000 0.5000 0.5000
0.0000 0.0000 0.5830
0.0000 0.5000 0.8330
0.5000 0.0000 0.3330
0.5000 0.5000 0.0830
0.0000 0.0000 0.2199
0.0000 0.5000 0.4699
0.5000 0.0000 0.9699
0.5000 0.5000 0.7199
```

Most intense lines, 2θ from 5° to 70°, in order of rising 2θ:
2θ (°)  I_rel
27.77  431
28.18  1000
34.22  538
40.80  292
44.62  242
45.65  96
49.17  194
54.27  256
57.63  282
66.91  105

Entry 4:
This entry pairs a crystal structure of Dy14Pb3S24 with its simulated powder diffraction line list. Radiation: CuKα. Structure: a GGA-PBE-relaxed structure.

Crystal structure
```
Dy14Pb3S24
1.0
5.9614 -4.1847 0.0000
5.9614 4.1847 0.0000
-5.9450 0.0000 17.9645
Dy Pb S
14 3 24
Direct
0.0067 0.0067 0.1316
0.0441 0.5371 0.9631
0.1209 0.6305 0.3789
0.2949 0.0425 0.3383
0.3293 0.3135 0.5376
0.3376 0.3304 0.7868
0.3695 0.8791 0.6211
0.4629 0.9559 0.0369
0.6696 0.6624 0.2132
0.6865 0.6707 0.4624
0.7103 0.2054 0.3059
0.7946 0.2897 0.6941
0.9575 0.7051 0.6617
0.9933 0.9933 0.8684
0.2165 0.4548 0.1699
0.5452 0.7835 0.8301
0.6259 0.3741 0.0000
0.0829 0.1999 0.0344
0.0863 0.6953 0.5365
0.1242 0.2648 0.6329
0.1277 0.0007 0.7431
0.3047 0.9137 0.4635
0.3062 0.6852 0.0835
0.3136 0.1925 0.9104
0.3148 0.6938 0.9165
0.4063 0.5352 0.6958
0.4120 0.0368 0.2103
0.4606 0.3369 0.4159
0.4648 0.5937 0.3042
0.6282 0.2472 0.1354
0.6430 0.0047 0.7444
0.6631 0.5394 0.5841
0.6658 0.0149 0.5818
0.7352 0.8758 0.3671
0.7528 0.3718 0.8646
0.8001 0.9171 0.9656
0.8075 0.6864 0.0896
0.9632 0.5880 0.7897
0.9851 0.3342 0.4182
0.9953 0.3570 0.2556
0.9993 0.8723 0.2569
```

Most intense lines, 2θ from 5° to 70°, in order of rising 2θ:
2θ (°)  I_rel
25.87  1000
26.00  562
33.54  561
33.59  340
33.84  425
40.02  346
40.13  188
48.26  271
48.55  226
50.83  185

Entry 5:
This entry pairs a crystal structure of Dy3PbS6 with its simulated powder diffraction line list. Radiation: CuKα. Structure: a GGA-PBE-relaxed structure.

Crystal structure
```
Dy3PbS6
1.0
11.1382 0.0000 0.0000
0.0000 4.0362 0.0000
-3.5410 0.0000 10.9122
Dy Pb S
6 2 12
Direct
0.0599 0.2500 0.1650
0.1763 0.7500 0.4981
0.3406 0.2500 0.9142
0.6594 0.7500 0.0858
0.8237 0.2500 0.5019
0.9401 0.7500 0.8350
0.4619 0.2500 0.3167
0.5381 0.7500 0.6833
0.0191 0.2500 0.3865
0.1056 0.2500 0.9414
0.2242 0.7500 0.2693
0.2963 0.7500 0.7466
0.3691 0.2500 0.5298
0.4143 0.7500 0.0827
0.5857 0.2500 0.9173
0.6309 0.7500 0.4702
0.7037 0.2500 0.2534
0.7758 0.2500 0.7307
0.8944 0.7500 0.0586
0.9809 0.7500 0.6135
```

Most intense lines, 2θ from 5° to 70°, in order of rising 2θ:
2θ (°)  I_rel
23.28  855
23.97  1000
26.83  469
27.23  608
30.46  854
33.72  444
41.93  569
43.00  432
44.92  592
45.68  430

Entry 6:
This entry pairs a crystal structure of DyPb2S4 with its simulated powder diffraction line list. Radiation: CuKα. Structure: a GGA-PBE-relaxed structure.

Crystal structure
```
DyPb2S4
1.0
1.9460 -6.8515 0.0000
1.9460 6.8515 0.0000
0.0000 0.0000 13.3791
Dy Pb S
2 4 8
Direct
0.1163 0.8837 0.7500
0.8837 0.1163 0.2500
0.3686 0.6314 0.5691
0.3686 0.6314 0.9309
0.6314 0.3686 0.0691
0.6314 0.3686 0.4309
0.0000 0.0000 0.0000
0.0000 0.0000 0.5000
0.2898 0.7102 0.1308
0.2898 0.7102 0.3692
0.4761 0.5239 0.7500
0.5239 0.4761 0.2500
0.7102 0.2898 0.6308
0.7102 0.2898 0.8692
```

Most intense lines, 2θ from 5° to 70°, in order of rising 2θ:
2θ (°)  I_rel
23.80  1000
24.69  216
26.01  281
27.30  248
30.92  287
33.07  382
41.48  268
42.55  175
44.57  232
53.06  217